# TbTm3In2
Theoretical powder diffraction line list, Cu Kα, 1.54184 Å. Input: the PBE geometry in Alexandria.

Atomic structure:
Cell lengths 8.8647, 3.4652, 21.9624 Å; angles 90.00, 90.00, 90.00 degrees
Sites, in units of the cell vectors:
Tb1 0.1579 0.2500 0.1614
Tb2 0.3421 0.7500 0.6614
Tb3 0.6579 0.2500 0.3386
Tb4 0.8421 0.7500 0.8386
Tm1 0.0400 0.2500 0.4243
Tm2 0.1083 0.2500 0.9361
Tm3 0.2151 0.7500 0.8043
Tm4 0.2849 0.2500 0.3043
Tm5 0.3917 0.7500 0.4361
Tm6 0.4600 0.7500 0.9243
Tm7 0.5400 0.2500 0.0757
Tm8 0.6083 0.2500 0.5639
Tm9 0.7151 0.7500 0.6957
Tm10 0.7849 0.2500 0.1957
Tm11 0.8917 0.7500 0.0639
Tm12 0.9600 0.7500 0.5757
In1 0.0246 0.2500 0.7088
In2 0.2496 0.2500 0.5424
In3 0.2504 0.7500 0.0424
In4 0.4754 0.7500 0.2088
In5 0.5246 0.2500 0.7912
In6 0.7496 0.2500 0.9576
In7 0.7504 0.7500 0.4576
In8 0.9754 0.7500 0.2912

Peak list (8 most intense, 2θ = 10–90°, in order of rising 2θ)
2θ (°)  I/Imax  h k l
30.5  25  3 0 1
32.2  100  1 1 4
32.6  53  0 0 8
32.8  25  2 1 0
32.9  25  0 1 5
34.5  65  3 0 4
35.1  41  2 1 3
52.8  22  0 2 0